Structure and calculated X-ray diffraction stick pattern of LiCoH8S2O12 (the PBE+U geometry in Alexandria; copper Kα).

Structure:
```
data_LiCoH8S2O12
_cell_length_a 5.645
_cell_length_b 8.208
_cell_length_c 11.032
_cell_angle_alpha 90.00
_cell_angle_beta 106.02
_cell_angle_gamma 90.00
_symmetry_space_group_name_H-M 'P 1 c 1'
_symmetry_Int_Tables_number 7
_symmetry_space_group_name_Hall 'P -2yc'
loop_
_atom_site_label
_atom_site_fract_x
_atom_site_fract_y
_atom_site_fract_z
Li1 0.000 0.243 0.000
Co1 0.877 0.257 0.640
H1 0.069 0.207 0.446
H2 0.094 0.395 0.490
H3 0.206 0.484 0.766
H4 0.530 0.071 0.496
H5 0.634 0.012 0.129
H6 0.663 0.328 0.816
H7 0.666 0.132 0.801
H8 0.953 0.430 0.180
S1 0.258 0.036 0.261
S2 0.510 0.458 0.996
O1 0.026 0.470 0.723
O2 0.116 0.155 0.172
O3 0.169 0.137 0.718
O4 0.231 0.058 0.390
O5 0.264 0.414 0.009
O6 0.496 0.481 0.860
O7 0.524 0.039 0.266
O8 0.573 0.378 0.563
O9 0.685 0.053 0.564
O10 0.702 0.338 0.053
O11 0.771 0.233 0.809
O12 0.990 0.296 0.483
```

Main lines, most intense first (15 to 90 degrees two-theta):
hkl, Position (°2θ), I (rel.)
1 0 -2, 19.93, 100.0
1 2 0, 27.25, 51.9
1 1 1, 23.07, 31.9
1 0 -4, 33.27, 22.5
0 2 2, 27.48, 15.0
0 0 2, 16.72, 14.6
1 1 2, 28.73, 14.6
1 1 -1, 19.47, 14.5
1 3 2, 42.66, 13.4
1 1 0, 19.61, 12.5